# 1
# Ni2PtCl6
Computed XRD peak list, Cu Kα, 1.54184 Å. Input: DFT lattice parameters and positions (PBE).
Neutral-atom scattering factors, no anomalous dispersion.

Crystal structure
a b c (Å): 14.015 3.565 8.775
angles (deg): 90.00 108.16 90.00
Space group C2/m (No. 12)
Symmetry-distinct sites (fractional):
Ni (0.169, 0.000, 0.340) (multiplicity 4)
Pt (0.000, 0.500, 0.000) (multiplicity 2)
Cl (0.048, 0.500, 0.307) (multiplicity 4)
Cl (0.133, 0.000, 0.052) (multiplicity 4)
Cl (0.209, 0.000, 0.626) (multiplicity 4)

Largest 10 diffraction maxima, by angle, 5 to 70 degrees two-theta:
10.61°, I 15, (0 0 1)
14.20°, I 100, (2 0 -1)
21.32°, I 9, (0 0 2)
28.84°, I 11, (1 1 1)
32.21°, I 66, (0 0 3)
40.96°, I 25, (5 1 -1)
41.18°, I 23, (2 0 -4)
50.79°, I 14, (3 1 3)
52.88°, I 10, (5 1 2)
53.20°, I 20, (5 1 -4)

---

# 2
# SmHfBeN3
Computed XRD peak list, Cu Kα, 1.54184 Å. Input: DFT lattice parameters and positions (PBE).
Neutral-atom scattering factors, no anomalous dispersion.

Crystal structure
a b c (Å): 6.834 3.223 6.884
angles (deg): 90.00 103.14 90.00
Space group P2_1/m (No. 11)
Symmetry-distinct sites (fractional):
Sm (0.224, 0.250, 0.187) (multiplicity 2)
Hf (0.170, 0.250, 0.662) (multiplicity 2)
Be (0.402, 0.750, 0.921) (multiplicity 2)
N (0.145, 0.750, 0.875) (multiplicity 2)
N (0.164, 0.750, 0.438) (multiplicity 2)
N (0.483, 0.250, 0.831) (multiplicity 2)

Largest 10 diffraction maxima, by angle, 5 to 70 degrees two-theta:
13.30°, I 54, (1 0 0)
26.59°, I 30, (0 0 2)
26.79°, I 50, (2 0 0)
30.82°, I 100, (1 1 0)
32.52°, I 40, (1 0 2)
33.35°, I 43, (2 0 -2)
38.76°, I 55, (0 1 2)
38.97°, I 83, (1 1 -2)
51.39°, I 29, (2 1 2)
52.34°, I 28, (3 1 -2)